(1)
LiV6O11F: theoretical powder diffraction line list (copper Kα), based on a cell relaxed with PBE+U.
Peak positions follow from Bragg's law for the DFT cell and can differ from measured ones.

The 12 most intense peaks (2θ from 10° to 80°), low angle first:
2θ = 26.42°, d 3.373, I 95
2θ = 27.26°, d 3.272, I 100
2θ = 35.45°, d 2.532, I 73
2θ = 35.57°, d 2.524, I 25
2θ = 40.21°, d 2.243, I 22
2θ = 52.67°, d 1.738, I 27
2θ = 53.52°, d 1.712, I 15
2θ = 53.68°, d 1.707, I 29
2θ = 53.87°, d 1.702, I 14
2θ = 54.40°, d 1.687, I 18
2θ = 56.24°, d 1.636, I 18
2θ = 61.77°, d 1.502, I 20

```
LiV6O11F
1.0
4.6834 0.0000 0.0000
-0.1442 4.7127 0.0000
-0.0293 -0.0176 9.0085
Li V O F
1 6 11 1
Cartesian
0.0000 0.0000 0.0000
2.1675 0.1297 5.1130
2.2766 0.0281 8.0758
2.3443 4.5310 2.1725
4.4774 2.4479 3.8108
4.5726 2.3695 0.6465
4.5864 2.3446 6.6637
0.8526 1.4052 5.1065
0.9101 1.3249 8.1680
1.2812 3.7733 3.6315
1.3014 3.7943 0.6626
1.3179 3.7674 6.6104
3.1993 0.9183 3.6322
3.2066 0.8846 6.6134
3.2417 0.8839 0.6759
3.6094 3.3009 5.0558
3.6394 3.2846 2.2063
3.6345 3.2972 8.1823
0.8443 1.4149 2.1954
```



(2)
Li2Mn3NbO8: theoretical powder diffraction line list (copper Kα), based on a cell relaxed with PBE+U.
Peak positions follow from Bragg's law for the DFT cell and can differ from measured ones.

The 12 most intense peaks (2θ from 10° to 80°), low angle first:
2θ = 17.51°, d 5.064, I 12
2θ = 17.83°, d 4.973, I 100
2θ = 18.08°, d 4.907, I 50
2θ = 33.65°, d 2.664, I 23
2θ = 33.86°, d 2.647, I 18
2θ = 34.24°, d 2.619, I 19
2θ = 35.49°, d 2.530, I 21
2θ = 41.04°, d 2.199, I 60
2θ = 43.59°, d 2.076, I 24
2θ = 54.58°, d 1.681, I 12
2θ = 60.62°, d 1.528, I 17
2θ = 62.20°, d 1.493, I 16

```
Li2Mn3NbO8
1.0
5.1115 -3.1049 0.0000
5.1115 3.1049 0.0000
-3.6346 0.0000 5.0644
Li Mn Nb O
2 3 1 8
Cartesian
0.0000 0.0000 0.0000
-0.2934 0.0000 3.9020
2.4193 1.5503 1.9601
4.9520 0.0000 1.9807
2.4193 -1.5503 1.9601
3.1216 0.0000 4.5144
3.9181 1.4105 3.1929
1.5766 0.0000 3.3074
3.2904 0.0000 0.9941
6.0140 1.4178 0.7122
3.9181 -1.4105 3.1929
6.6499 0.0000 2.9170
8.3603 0.0000 0.5726
6.0140 -1.4178 0.7122
```



(3)
Co3O2F4: theoretical powder diffraction line list (copper Kα), based on a cell relaxed with PBE+U.
Peak positions follow from Bragg's law for the DFT cell and can differ from measured ones.

The 12 most intense peaks (2θ from 10° to 80°), low angle first:
2θ = 27.19°, d 3.279, I 100
2θ = 34.46°, d 2.603, I 16
2θ = 34.62°, d 2.591, I 15
2θ = 34.85°, d 2.574, I 16
2θ = 34.99°, d 2.564, I 14
2θ = 38.84°, d 2.319, I 8
2θ = 52.56°, d 1.741, I 8
2θ = 52.81°, d 1.733, I 8
2θ = 53.43°, d 1.715, I 22
2θ = 56.01°, d 1.642, I 8
2θ = 56.18°, d 1.637, I 8
2θ = 59.45°, d 1.555, I 10

```
Co3O2F4
1.0
4.6356 0.0000 0.0000
0.0138 4.6399 0.0000
0.0643 0.1500 9.3292
Co O F
6 4 8
Cartesian
0.0000 0.0000 0.0000
0.1701 0.2123 6.2263
0.3040 0.3142 3.2038
2.2849 2.6745 4.6267
2.5065 2.5040 1.5825
2.6731 2.4086 7.8909
1.1126 4.0498 4.6916
1.6025 1.6652 3.1014
3.3011 3.2172 0.1490
3.8631 1.0920 7.7811
1.0386 3.8605 1.6063
1.1824 3.8346 7.7864
1.4952 1.4234 0.0738
1.5532 1.6908 6.2278
3.3904 3.4299 6.2272
3.4483 3.5380 3.1678
3.8110 1.2763 4.7206
3.9126 1.0392 1.6721
```